Calculated powder X-ray diffraction pattern of Tb2Nd6Mg for Cu Kα (weighted mean of Kα1 and Kα2), from the GGA-PBE geometry in Alexandria.
Intensities are scaled so that the largest is 100.

Largest 10 diffraction maxima, in order of rising 2θ, 5 to 70 degrees two-theta:
d_spacing, intensity
3.389, 23
3.295, 33
3.086, 31
2.836, 78
2.823, 100
2.761, 56
2.694, 65
2.058, 22
1.819, 22
1.453, 25

Crystal structure
Lattice parameters (Å, degrees): 11.643 11.643 11.643 149.26 131.72 58.34
Element x y z (fractional)
Tb 0.170 0.052 0.223
Tb 0.330 0.552 0.882
Tb 0.670 0.448 0.118
Tb 0.830 0.948 0.777
Nd 0.004 0.730 0.076
Nd 0.081 0.581 0.500
Nd 0.153 0.230 0.726
Nd 0.347 0.072 0.076
Nd 0.419 0.919 0.500
Nd 0.496 0.572 0.726
Nd 0.504 0.428 0.274
Nd 0.581 0.081 0.500
Nd 0.653 0.928 0.924
Nd 0.847 0.770 0.274
Nd 0.919 0.419 0.500
Nd 0.996 0.270 0.924
Mg 0.250 0.750 0.500
Mg 0.750 0.250 0.500

Calculated powder X-ray diffraction pattern of Ho5ErBi5 for Cu Kα (weighted mean of Kα1 and Kα2), from the GGA-PBE geometry in Alexandria.
Intensities are scaled so that the largest is 100.

Largest 10 diffraction maxima, in order of rising 2θ, 5 to 70 degrees two-theta:
d_spacing, intensity
3.119, 51
3.104, 100
2.200, 98
2.190, 19
1.798, 21
1.792, 21
1.552, 13
1.394, 19
1.391, 9
1.389, 18

Crystal structure
Lattice parameters (Å, degrees): 7.598 7.598 8.798 106.83 106.83 48.47
Element x y z (fractional)
Ho 0.000 0.000 0.000
Ho 0.335 0.335 0.164
Ho 0.337 0.337 0.674
Ho 0.663 0.663 0.326
Ho 0.665 0.665 0.836
Er 0.000 0.000 0.500
Bi 0.166 0.166 0.835
Bi 0.169 0.169 0.333
Bi 0.500 0.500 0.500
Bi 0.831 0.831 0.667
Bi 0.834 0.834 0.165